This entry pairs a crystal structure of SmMn8Ni4 with its simulated powder XRD pattern. Radiation: Cu Ka. Structure: DFT lattice parameters and positions (GGA-PBE).

Most intense lines, 15° ≤ 2θ ≤ 90°, by angle:
2θ/deg, I_rel, index
30.07, 22, 2 1 1
33.63, 14, 3 1 0
37.02, 34, 3 0 1
37.24, 14, 0 0 2
42.96, 100, 4 0 0
43.18, 46, 2 0 2
48.32, 13, 4 2 0
48.53, 20, 2 2 2
78.70, 17, 6 3 1
78.83, 12, 6 0 2

Cell and atoms:
Lattice parameters (Å, degrees): 8.4278 8.4278 4.8295 90.00 90.00 90.00
Space group I4/mmm (No. 139)
Unique sites:
Sm: 0.0000 0.0000 0.0000 (multiplicity 2)
Mn: 0.0000 0.2371 0.5000 (multiplicity 8)
Mn: 0.2500 0.2500 0.2500 (multiplicity 8)
Ni: 0.0000 0.3500 0.0000 (multiplicity 8)

---

This entry pairs a crystal structure of SmHoPd4 with its simulated powder XRD pattern. Radiation: Cu Ka. Structure: DFT lattice parameters and positions (GGA-PBE).

Most intense lines, 15° ≤ 2θ ≤ 90°, by angle:
2θ/deg, I_rel, index
29.60, 27, 1 3 1
38.04, 100, 1 1 2
38.63, 99, 1 7 0
41.72, 54, 0 6 2
42.98, 38, 2 0 0
48.72, 16, 0 8 2
61.45, 34, 2 6 2
74.48, 24, 1 13 2
75.48, 14, 3 1 2
77.73, 26, 1 7 4

Cell and atoms:
Lattice parameters (Å, degrees): 4.2087 19.5945 5.7826 90.00 90.00 90.00
Space group Cmcm (No. 63)
Unique sites:
Sm: 0.0000 0.2233 0.2500 (multiplicity 4)
Ho: 0.0000 0.0761 0.7500 (multiplicity 4)
Pd: 0.0000 0.0724 0.2500 (multiplicity 4)
Pd: 0.0000 0.3542 0.5080 (multiplicity 8)
Pd: 0.0000 0.5000 0.0000 (multiplicity 4)

---

This entry pairs a crystal structure of ScInPdRu2 with its simulated powder XRD pattern. Radiation: Cu Ka. Structure: DFT lattice parameters and positions (GGA-PBE).

Most intense lines, 15° ≤ 2θ ≤ 90°, by angle:
2θ/deg, I_rel, index
32.61, 100, 1 1 1
33.93, 34, 0 0 2
39.66, 44, 2 0 0
53.16, 37, 2 0 2
57.34, 14, 2 2 0
59.88, 17, 1 1 3
67.54, 24, 3 1 1
68.32, 17, 2 2 2
84.91, 9, 2 0 4
87.63, 12, 3 1 3

Cell and atoms:
Lattice parameters (Å, degrees): 4.5448 4.5448 5.2842 90.00 90.00 90.00
Space group P4/mmm (No. 123)
Unique sites:
Sc: 0.0000 0.0000 0.0000 (multiplicity 1)
In: 0.0000 0.0000 0.5000 (multiplicity 1)
Pd: 0.5000 0.5000 0.5000 (multiplicity 1)
Ru: 0.0000 0.5000 0.0000 (multiplicity 2)